# CaMo4O9
Theoretical PXRD pattern, CuKα. Input: a GGA+U-relaxed structure.

Cell and atoms:
Cell lengths 8.001, 8.001, 5.157 Å; angles 90.00, 90.00, 90.00 degrees
Fractional coordinates of all 28 atoms:
Ca1 0.250 0.250 0.217
Ca2 0.750 0.750 0.783
Mo1 0.040 0.640 0.270
Mo2 0.140 0.960 0.730
Mo3 0.360 0.540 0.730
Mo4 0.460 0.860 0.270
Mo5 0.540 0.140 0.730
Mo6 0.640 0.460 0.270
Mo7 0.860 0.040 0.270
Mo8 0.960 0.360 0.730
O1 0.005 0.161 0.984
O2 0.049 0.147 0.503
O3 0.147 0.451 0.503
O4 0.161 0.495 0.984
O5 0.250 0.750 0.500
O6 0.339 0.005 0.984
O7 0.353 0.049 0.503
O8 0.451 0.353 0.503
O9 0.495 0.339 0.984
O10 0.505 0.661 0.016
O11 0.549 0.647 0.497
O12 0.647 0.951 0.497
O13 0.661 0.995 0.016
O14 0.750 0.250 0.500
O15 0.839 0.505 0.016
O16 0.853 0.549 0.497
O17 0.951 0.853 0.497
O18 0.995 0.839 0.016

Most intense lines, 15° ≤ 2θ ≤ 90°, low angle first:
d [Å]  I_rel
4.000  8
2.940  100
2.578  7
2.530  15
1.806  37
1.789  17
1.549  12
1.528  24
1.470  6
1.171  9